(1)
# Mg6AlBi
Theoretical powder X-ray diffraction pattern, Cu Kα, 1.54184 Å. Input: a structure optimized by DFT (GGA-PBE).
Kinematic intensities with the Lorentz-polarization factor, no thermal factor.

abc: 5.2636 6.5445 10.8403
angles: 90.00 90.00 90.00
Positions (direct):
Mg (0.0000, 0.0000, 0.0000)
Mg (0.0000, 0.0000, 0.4948)
Mg (0.0000, 0.2401, 0.2474)
Mg (0.0000, 0.2599, 0.7474)
Mg (0.0000, 0.5000, 0.5000)
Mg (0.0000, 0.5000, 0.9948)
Mg (0.0000, 0.7401, 0.7474)
Mg (0.0000, 0.7599, 0.2474)
Mg (0.5000, 0.2492, 0.9146)
Mg (0.5000, 0.2508, 0.4146)
Mg (0.5000, 0.7492, 0.4146)
Mg (0.5000, 0.7508, 0.9146)
Al (0.5000, 0.0000, 0.1632)
Al (0.5000, 0.5000, 0.6632)
Bi (0.5000, 0.0000, 0.6637)
Bi (0.5000, 0.5000, 0.1637)

Main lines, sorted by position (2θ from 15° to 90°):
- 2θ = 15.82°, intensity 911
- 2θ = 16.35°, intensity 464
- 2θ = 16.84°, intensity 434
- 2θ = 23.19°, intensity 842
- 2θ = 23.56°, intensity 404
- 2θ = 33.04°, intensity 508
- 2θ = 34.07°, intensity 371
- 2θ = 36.33°, intensity 1000
- 2θ = 37.32°, intensity 467
- 2θ = 47.41°, intensity 367



(2)
# LiMg3
Theoretical powder X-ray diffraction pattern, Cu Kα, 1.54184 Å. Input: a structure optimized by DFT (GGA-PBE).
Kinematic intensities with the Lorentz-polarization factor, no thermal factor.

abc: 3.1683 3.1683 10.0619
angles: 90.00 90.00 120.00
Positions (direct):
Li (0.0000, 0.0000, 0.0000)
Mg (0.0000, 0.0000, 0.5000)
Mg (0.3333, 0.6667, 0.2453)
Mg (0.3333, 0.6667, 0.7547)

Main lines, sorted by position (2θ from 15° to 90°):
- 2θ = 17.63°, intensity 95
- 2θ = 32.64°, intensity 284
- 2θ = 33.86°, intensity 117
- 2θ = 35.69°, intensity 246
- 2θ = 37.33°, intensity 1000
- 2θ = 49.14°, intensity 170
- 2θ = 58.24°, intensity 170
- 2θ = 65.19°, intensity 199
- 2θ = 70.21°, intensity 185
- 2θ = 71.25°, intensity 136



(3)
# LaAl4Co
Theoretical powder X-ray diffraction pattern, Cu Kα, 1.54184 Å. Input: a structure optimized by DFT (GGA-PBE).
Kinematic intensities with the Lorentz-polarization factor, no thermal factor.

abc: 7.7047 4.0625 7.0048
angles: 90.00 90.00 90.00
Positions (direct):
La (0.2500, 0.0000, 0.1128)
La (0.7500, 0.0000, 0.8872)
Al (0.0000, 0.0000, 0.5000)
Al (0.0712, 0.5000, 0.7917)
Al (0.2500, 0.5000, 0.4557)
Al (0.4288, 0.5000, 0.7917)
Al (0.5000, 0.0000, 0.5000)
Al (0.5712, 0.5000, 0.2083)
Al (0.7500, 0.5000, 0.5443)
Al (0.9288, 0.5000, 0.2083)
Co (0.2500, 0.0000, 0.6813)
Co (0.7500, 0.0000, 0.3187)

Main lines, sorted by position (2θ from 15° to 90°):
- 2θ = 21.88°, intensity 420
- 2θ = 23.09°, intensity 485
- 2θ = 27.97°, intensity 640
- 2θ = 32.02°, intensity 498
- 2θ = 34.55°, intensity 495
- 2θ = 35.80°, intensity 1000
- 2θ = 40.36°, intensity 236
- 2θ = 43.70°, intensity 255
- 2θ = 44.61°, intensity 288
- 2θ = 49.39°, intensity 264



(4)
# SrAl2Si2O10
Theoretical powder X-ray diffraction pattern, Cu Kα, 1.54184 Å. Input: a structure optimized by DFT (GGA-PBE).
Kinematic intensities with the Lorentz-polarization factor, no thermal factor.

abc: 5.3864 13.1875 5.4410
angles: 90.00 113.71 90.00
Positions (direct):
Sr (0.1785, 0.2500, 0.3431)
Sr (0.8215, 0.7500, 0.6569)
Al (0.0000, 0.0000, 0.0000)
Al (0.0000, 0.5000, 0.0000)
Al (0.5000, 0.0000, 0.5000)
Al (0.5000, 0.5000, 0.5000)
Si (0.4902, 0.6283, 0.0255)
Si (0.4902, 0.8717, 0.0255)
Si (0.5098, 0.1283, 0.9745)
Si (0.5098, 0.3717, 0.9745)
O (0.1520, 0.5615, 0.3451)
O (0.1520, 0.9385, 0.3451)
O (0.1608, 0.6105, 0.8992)
O (0.1608, 0.8895, 0.8992)
O (0.2145, 0.7500, 0.4574)
O (0.3549, 0.0723, 0.1450)
O (0.3549, 0.4277, 0.1450)
O (0.3753, 0.1033, 0.6540)
O (0.3753, 0.3967, 0.6540)
O (0.4460, 0.2500, 0.0085)
O (0.5540, 0.7500, 0.9915)
O (0.6247, 0.6033, 0.3460)
O (0.6247, 0.8967, 0.3460)
O (0.6451, 0.5723, 0.8550)
O (0.6451, 0.9277, 0.8550)
O (0.7855, 0.2500, 0.5426)
O (0.8392, 0.1105, 0.1008)
O (0.8392, 0.3895, 0.1008)
O (0.8480, 0.0615, 0.6549)
O (0.8480, 0.4385, 0.6549)

Main lines, sorted by position (2θ from 15° to 90°):
- 2θ = 19.04°, intensity 455
- 2θ = 19.21°, intensity 487
- 2θ = 20.72°, intensity 624
- 2θ = 27.05°, intensity 457
- 2θ = 32.57°, intensity 483
- 2θ = 33.16°, intensity 1000
- 2θ = 33.44°, intensity 466
- 2θ = 33.61°, intensity 663
- 2θ = 41.68°, intensity 493
- 2θ = 42.01°, intensity 419



(5)
# HfGeS
Theoretical powder X-ray diffraction pattern, Cu Kα, 1.54184 Å. Input: a structure optimized by DFT (GGA-PBE).
Kinematic intensities with the Lorentz-polarization factor, no thermal factor.

abc: 3.6358 3.6358 7.9692
angles: 90.00 90.00 90.00
Positions (direct):
Hf (0.2500, 0.2500, 0.2253)
Hf (0.7500, 0.7500, 0.7747)
Ge (0.2500, 0.7500, 0.5000)
Ge (0.7500, 0.2500, 0.5000)
S (0.2500, 0.2500, 0.8803)
S (0.7500, 0.7500, 0.1197)

Main lines, sorted by position (2θ from 15° to 90°):
- 2θ = 26.95°, intensity 1000
- 2θ = 33.74°, intensity 193
- 2θ = 34.90°, intensity 202
- 2θ = 36.73°, intensity 318
- 2θ = 41.82°, intensity 803
- 2θ = 42.13°, intensity 449
- 2θ = 50.18°, intensity 325
- 2θ = 57.88°, intensity 254
- 2θ = 67.54°, intensity 221
- 2θ = 88.51°, intensity 194



(6)
# CaMn28
Theoretical powder X-ray diffraction pattern, Cu Kα, 1.54184 Å. Input: a structure optimized by DFT (GGA-PBE).
Kinematic intensities with the Lorentz-polarization factor, no thermal factor.

abc: 7.5882 7.5882 7.5882
angles: 109.47 109.47 109.47
Positions (direct):
Ca (0.0000, 0.0000, 0.0000)
Mn (0.0000, 0.0000, 0.6269)
Mn (0.0000, 0.2013, 0.3814)
Mn (0.0000, 0.3814, 0.2013)
Mn (0.0000, 0.3902, 0.6782)
Mn (0.0000, 0.6269, 0.0000)
Mn (0.0000, 0.6782, 0.3902)
Mn (0.1801, 0.7987, 0.7987)
Mn (0.2013, 0.0000, 0.3814)
Mn (0.2013, 0.3814, 0.0000)
Mn (0.2880, 0.6098, 0.6098)
Mn (0.3218, 0.3218, 0.7120)
Mn (0.3218, 0.7120, 0.3218)
Mn (0.3731, 0.3731, 0.3731)
Mn (0.3814, 0.0000, 0.2013)
Mn (0.3814, 0.2013, 0.0000)
Mn (0.3902, 0.0000, 0.6782)
Mn (0.3902, 0.6782, 0.0000)
Mn (0.6098, 0.2880, 0.6098)
Mn (0.6098, 0.6098, 0.2880)
Mn (0.6186, 0.6186, 0.8199)
Mn (0.6186, 0.8199, 0.6186)
Mn (0.6269, 0.0000, 0.0000)
Mn (0.6782, 0.0000, 0.3902)
Mn (0.6782, 0.3902, 0.0000)
Mn (0.7120, 0.3218, 0.3218)
Mn (0.7987, 0.1801, 0.7987)
Mn (0.7987, 0.7987, 0.1801)
Mn (0.8199, 0.6186, 0.6186)

Main lines, sorted by position (2θ from 15° to 90°):
- 2θ = 41.21°, intensity 57
- 2θ = 43.84°, intensity 1000
- 2θ = 48.75°, intensity 232
- 2θ = 51.07°, intensity 80
- 2θ = 53.31°, intensity 178
- 2θ = 75.12°, intensity 53
- 2θ = 76.94°, intensity 81
- 2θ = 80.56°, intensity 204
- 2θ = 82.36°, intensity 43
- 2θ = 87.70°, intensity 40



(7)
# MgAlPd2
Theoretical powder X-ray diffraction pattern, Cu Kα, 1.54184 Å. Input: a structure optimized by DFT (GGA-PBE).
Kinematic intensities with the Lorentz-polarization factor, no thermal factor.

abc: 6.2465 6.2465 6.2465
angles: 90.00 90.00 90.00
Positions (direct):
Mg (0.0000, 0.0000, 0.0000)
Mg (0.0000, 0.5000, 0.5000)
Mg (0.5000, 0.0000, 0.5000)
Mg (0.5000, 0.5000, 0.0000)
Al (0.0000, 0.0000, 0.5000)
Al (0.0000, 0.5000, 0.0000)
Al (0.5000, 0.0000, 0.0000)
Al (0.5000, 0.5000, 0.5000)
Pd (0.2500, 0.2500, 0.2500)
Pd (0.2500, 0.2500, 0.7500)
Pd (0.2500, 0.7500, 0.2500)
Pd (0.2500, 0.7500, 0.7500)
Pd (0.7500, 0.2500, 0.2500)
Pd (0.7500, 0.2500, 0.7500)
Pd (0.7500, 0.7500, 0.2500)
Pd (0.7500, 0.7500, 0.7500)

Main lines, sorted by position (2θ from 15° to 90°):
- 2θ = 28.58°, intensity 490
- 2θ = 40.86°, intensity 1000
- 2θ = 50.62°, intensity 132
- 2θ = 59.16°, intensity 164
- 2θ = 67.00°, intensity 168
- 2θ = 74.40°, intensity 327
- 2θ = 88.56°, intensity 106